For LiFeF4, a cell relaxed with PBE+U gives the computed powder XRD pattern in this record (a wavelength of 1.5418 Å).
Peak positions follow from Bragg's law for the DFT cell and can differ from measured ones.

Structural model:
a = 4.5643 Å, b = 11.7008 Å, c = 4.8927 Å
α = 90.00°, β = 90.00°, γ = 90.00°
Positions (direct):
Li1 0.0000 0.0579 0.2500
Li2 0.0000 0.9421 0.7500
Li3 0.5000 0.4421 0.7500
Li4 0.5000 0.5579 0.2500
Fe1 0.0000 0.3248 0.2500
Fe2 0.0000 0.6752 0.7500
Fe3 0.5000 0.1752 0.7500
Fe4 0.5000 0.8248 0.2500
F1 0.2298 0.1938 0.0731
F2 0.2298 0.8062 0.5731
F3 0.2483 0.4342 0.0840
F4 0.2483 0.5658 0.5840
F5 0.2517 0.0658 0.5840
F6 0.2517 0.9342 0.0840
F7 0.2702 0.3062 0.5731
F8 0.2702 0.6938 0.0731
F9 0.7298 0.3062 0.9269
F10 0.7298 0.6938 0.4269
F11 0.7483 0.0658 0.9160
F12 0.7483 0.9342 0.4160
F13 0.7517 0.4342 0.4160
F14 0.7517 0.5658 0.9160
F15 0.7702 0.1938 0.4269
F16 0.7702 0.8062 0.9269

Peak list (6 most intense, 2θ from 5° to 70°, sorted by position)
2θ/deg	I/Imax	h k l
15.14	40	0 2 0
23.71	53	0 2 1
27.80	100	1 1 1
30.14	39	1 3 0
41.03	47	1 4 1
54.32	38	2 4 1